Diffraction record for Co15O28. The X-ray powder pattern is computed, not measured: it uses a DFT-relaxed cell (PBE+U, the Materials Project) and a wavelength of 1.5418 Å.

Structural model:
abc: 7.6272 8.1451 8.6221
angles: 104.91 105.97 103.25
Space group P-1 (No. 2)
Inequivalent atoms, fractional coordinates:
Co: 0.0000 0.0000 0.0000 x1
Co: 0.0000 0.5000 0.0000 x1
Co: 0.0807 0.2196 0.7848 x2
Co: 0.1413 0.9270 0.5718 x2
Co: 0.2138 0.6424 0.3562 x2
Co: 0.2936 0.3614 0.1406 x2
Co: 0.3637 0.0745 0.9272 x2
Co: 0.4288 0.7890 0.7152 x2
Co: 0.5000 0.5000 0.5000 x1
O: 0.0282 0.2634 0.9934 x2
O: 0.0477 0.4425 0.7937 x2
O: 0.0950 0.9915 0.7888 x2
O: 0.1198 0.1552 0.5761 x2
O: 0.1698 0.7025 0.5662 x2
O: 0.1825 0.8678 0.3634 x2
O: 0.2418 0.4160 0.3484 x2
O: 0.2581 0.5829 0.1456 x2
O: 0.3001 0.1271 0.1305 x2
O: 0.3369 0.3034 0.9336 x2
O: 0.3816 0.8451 0.9190 x2
O: 0.4017 0.0111 0.7157 x2
O: 0.4529 0.5599 0.7087 x2
O: 0.4715 0.7253 0.5030 x2

Peak list (10 most intense, 10° ≤ 2θ ≤ 90°, in order of rising 2θ)
h k l, 2θ/deg, d [Å], I (rel.)
1 1 -1, 18.36, 4.833, 100.0
2 -1 2, 37.14, 2.421, 29.3
1 -2 3, 38.70, 2.327, 7.4
1 -4 1, 44.54, 2.034, 34.7
3 0 1, 44.65, 2.030, 17.2
1 3 1, 48.59, 1.874, 7.7
0 5 -2, 58.23, 1.584, 9.8
1 4 -5, 63.80, 1.459, 8.3
4 -4 2, 65.85, 1.418, 9.5
0 1 -6, 69.05, 1.360, 6.2